1.
For CaNp2O7, a cell relaxed with GGA-PBE gives the calculated powder XRD pattern in this record (λ = 1.5418 Å (Cu Kα)).
Lines closer than 0.1° are merged.

Top 8 peaks for 2θ from 10° to 90°, by intensity:
d/Å	2θ (°)	I_rel
3.298	27.0	100.0
5.051	17.6	83.5
3.241	27.5	79.5
2.634	34.0	57.6
1.916	47.5	56.8
2.496	36.0	46.4
2.910	30.7	41.3
1.813	50.3	40.5

Crystal structure
```
data_CaNp2O7
_chemical_formula_sum 'Ca1 Np2 O7'
_symmetry_space_group_name_H-M 'P 1'
_symmetry_Int_Tables_number 1
_cell_length_a 10.3419
_cell_length_b 10.3419
_cell_length_c 10.3419
_cell_angle_alpha 21.35
_cell_angle_beta 21.35
_cell_angle_gamma 21.35
loop_
_symmetry_equiv_pos_as_xyz
'x,y,z'
loop_
_atom_site_label
_atom_site_fract_x
_atom_site_fract_y
_atom_site_fract_z
Ca1 0.0000 0.0000 0.0000
Np1 0.4322 0.4322 0.4322
Np2 0.5678 0.5678 0.5678
O1 0.0810 0.0810 0.0810
O2 0.2203 0.2203 0.2203
O3 0.3664 0.3664 0.3664
O4 0.5000 0.5000 0.5000
O5 0.6336 0.6336 0.6336
O6 0.7797 0.7797 0.7797
O7 0.9190 0.9190 0.9190
```

2.
For Pr10Dy6Ho, a cell relaxed with GGA-PBE gives the calculated powder XRD pattern in this record (λ = 1.5418 Å (Cu Kα)).
Lines closer than 0.1° are merged.

Top 8 peaks for 2θ from 10° to 90°, by intensity:
d/Å	2θ (°)	I_rel
2.848	31.4	100.0
2.858	31.3	80.1
2.938	30.4	40.4
2.018	44.9	26.8
1.649	55.8	25.5
1.642	56.0	18.5
1.893	48.1	13.5
1.504	61.7	11.1

Crystal structure
```
data_Pr10Dy6Ho
_chemical_formula_sum 'Pr10 Dy6 Ho1'
_symmetry_space_group_name_H-M 'P 1'
_symmetry_Int_Tables_number 1
_cell_length_a 9.9016
_cell_length_b 9.9016
_cell_length_c 6.9643
_cell_angle_alpha 90.00
_cell_angle_beta 90.00
_cell_angle_gamma 120.00
loop_
_symmetry_equiv_pos_as_xyz
'x,y,z'
loop_
_atom_site_label
_atom_site_fract_x
_atom_site_fract_y
_atom_site_fract_z
Pr1 0.0000 0.2742 0.3163
Pr2 0.0000 0.7258 0.6837
Pr3 0.2742 0.0000 0.3163
Pr4 0.2742 0.2742 0.6837
Pr5 0.3333 0.6667 0.0000
Pr6 0.3333 0.6667 0.5000
Pr7 0.6667 0.3333 0.0000
Pr8 0.6667 0.3333 0.5000
Pr9 0.7258 0.0000 0.6837
Pr10 0.7258 0.7258 0.3163
Dy1 0.0000 0.3686 0.8112
Dy2 0.0000 0.6314 0.1888
Dy3 0.3686 0.0000 0.8112
Dy4 0.3686 0.3686 0.1888
Dy5 0.6314 0.0000 0.1888
Dy6 0.6314 0.6314 0.8112
Ho1 0.0000 0.0000 0.0000
```